Calculated powder XRD pattern of Sm2SeOF2 for a wavelength of 1.5418 Å, from DFT lattice parameters and positions (GGA-PBE).
Neutral-atom scattering factors, no anomalous dispersion.

Main lines, low angle first (2θ from 10° to 90°):
- 3.298 Å, 2θ = 27.04°, intensity 99.0
- 2.924 Å, 2θ = 30.58°, intensity 100.0
- 2.762 Å, 2θ = 32.42°, intensity 77.2
- 2.562 Å, 2θ = 35.02°, intensity 48.3
- 2.505 Å, 2θ = 35.85°, intensity 42.7
- 1.904 Å, 2θ = 47.77°, intensity 48.2

Structure:
```
Sm2SeOF2
1.0
13.7302 0.0000 0.0000
-6.8651 11.8907 0.0000
0.0000 0.0000 3.8498
Sm Se O F
12 6 6 12
direct
0.0544 0.7660 0.2500
0.1184 0.5154 0.2500
0.2340 0.2884 0.2500
0.2884 0.0544 0.7500
0.3970 0.8816 0.2500
0.4846 0.6030 0.2500
0.5154 0.3970 0.7500
0.6030 0.1184 0.7500
0.7116 0.9456 0.2500
0.7660 0.7116 0.7500
0.8816 0.4846 0.7500
0.9456 0.2340 0.7500
0.2054 0.7185 0.7500
0.2815 0.4869 0.7500
0.4869 0.2054 0.2500
0.5131 0.7946 0.7500
0.7185 0.5131 0.2500
0.7946 0.2815 0.2500
0.0148 0.4270 0.7500
0.4122 0.9852 0.7500
0.4270 0.4122 0.2500
0.5730 0.5878 0.7500
0.5878 0.0148 0.2500
0.9852 0.5730 0.2500
0.0682 0.3151 0.2500
0.1004 0.8922 0.7500
0.1078 0.2082 0.7500
0.2082 0.1004 0.2500
0.2469 0.9318 0.2500
0.3151 0.2469 0.7500
0.6849 0.7531 0.2500
0.7531 0.0682 0.7500
0.7918 0.8996 0.7500
0.8922 0.7918 0.2500
0.8996 0.1078 0.2500
0.9318 0.6849 0.7500
```